The following is a computed powder X-ray diffraction pattern of AcAgAuO4. It was derived from a cell relaxed with GGA-PBE, using copper Kα.
Lines closer than 0.1° are merged.

Cell and atoms:
```
data_AcAgAuO4
_chemical_formula_sum 'Ac4 Ag4 Au4 O16'
_cell_length_a 6.1029
_cell_length_b 9.2059
_cell_length_c 8.1364
_cell_angle_alpha 90.00
_cell_angle_beta 90.00
_cell_angle_gamma 90.00
_space_group_name_H-M_alt 'C m c m'
_space_group_IT_number 63
_space_group_name_Hall '-C 2c 2'
loop_
_atom_site_label
_atom_site_type_symbol
_atom_site_fract_x
_atom_site_fract_y
_atom_site_fract_z
Ac1 Ac 0.0000 0.0000 0.0000
Ag1 Ag 0.0000 0.3295 0.2500
Au1 Au 0.0000 0.3165 0.7500
O1 O 0.0000 0.2787 0.5077
O2 O 0.2383 0.0079 0.2500
```

Top 8 peaks for 2θ from 5° to 70°, low angle first:
h k l  d (Å)  I/Imax
1 1 2  3.177  100
2 0 0  3.050  99
1 3 0  2.742  83
2 2 2  2.157  50
0 0 4  2.034  21
3 1 2  1.785  21
1 3 4  1.634  35
1 5 2  1.617  23